Record 1
# Li3Pd4Au2
Theoretical X-ray diffraction stick pattern, Cu Kα. Input: a DFT-relaxed cell (PBE, Alexandria).
Kinematic intensities with the Lorentz-polarization factor, no thermal factor.

Top 8 peaks for 2θ = 10–80°, by angle:
2θ/deg  d [Å]  I_rel
22.2  3.999  41.9
22.4  3.974  38.4
25.0  3.561  54.1
39.6  2.278  55.2
41.9  2.154  37.0
42.2  2.143  34.4
42.3  2.134  35.3
42.5  2.126  100.0

Atomic structure:
Cell lengths 4.8276, 7.2329, 8.6481 Å; angles 106.74, 105.98, 90.92 degrees
Atoms (fractional coordinates):
Li: 0.0529 0.3013 0.4449
Li: 0.2838 0.0298 0.2236
Li: 0.3868 0.6409 0.1174
Li: 0.6132 0.3591 0.8826
Li: 0.7162 0.9702 0.7764
Li: 0.9471 0.6987 0.5551
Pd: 0.1666 0.0852 0.6641
Pd: 0.2771 0.8602 0.8822
Pd: 0.3927 0.8092 0.4502
Pd: 0.4951 0.4174 0.3367
Pd: 0.5049 0.5826 0.6633
Pd: 0.6073 0.1908 0.5498
Pd: 0.7229 0.1398 0.1178
Pd: 0.8334 0.9148 0.3359
Au: 0.0599 0.4716 0.7737
Au: 0.1668 0.2433 0.9986
Au: 0.8332 0.7567 0.0014
Au: 0.9401 0.5284 0.2263


Record 2
# GaP2H
Theoretical X-ray diffraction stick pattern, Cu Kα. Input: a DFT-relaxed cell (PBE, Alexandria).
Kinematic intensities with the Lorentz-polarization factor, no thermal factor.

Top 8 peaks for 2θ = 10–80°, by angle:
2θ/deg  d [Å]  I_rel
19.0  4.670  64.1
19.2  4.616  61.5
22.9  3.881  100.0
25.5  3.489  35.2
26.7  3.336  40.0
33.1  2.706  84.9
35.6  2.521  57.7
36.3  2.478  43.8

Atomic structure:
Cell lengths 4.6555, 5.0318, 6.5271 Å; angles 68.19, 83.89, 89.28 degrees
Atoms (fractional coordinates):
Ga: 0.0000 0.0000 0.0000
Ga: 0.4322 0.1216 0.7182
P: 0.0122 0.1487 0.3145
P: 0.4405 0.6086 0.4495
P: 0.7460 0.8205 0.5881
P: 0.7496 0.5386 0.2003
H: 0.5539 0.4935 0.0620
H: 0.6988 0.1677 0.8867


Record 3
# Ca5ErPt6
Theoretical X-ray diffraction stick pattern, Cu Kα. Input: a DFT-relaxed cell (PBE, Alexandria).
Kinematic intensities with the Lorentz-polarization factor, no thermal factor.

Top 8 peaks for 2θ = 10–80°, by angle:
2θ/deg  d [Å]  I_rel
25.3  3.526  15.8
25.7  3.473  30.9
36.3  2.474  100.0
36.6  2.456  49.2
45.0  2.015  14.0
52.7  1.736  16.9
65.1  1.432  17.1
65.7  1.421  34.0

Atomic structure:
Cell lengths 7.7684, 7.7684, 7.0525 Å; angles 90.00, 90.00, 143.16 degrees
Atoms (fractional coordinates):
Ca: 0.0000 0.0000 0.0000
Ca: 0.3291 0.6709 0.5000
Ca: 0.3336 0.6664 0.0000
Ca: 0.6664 0.3336 0.0000
Ca: 0.6709 0.3291 0.5000
Er: 0.0000 0.0000 0.5000
Pt: 0.1596 0.8404 0.2549
Pt: 0.1596 0.8404 0.7451
Pt: 0.5000 0.5000 0.2682
Pt: 0.5000 0.5000 0.7318
Pt: 0.8404 0.1596 0.2549
Pt: 0.8404 0.1596 0.7451


Record 4
# Ho2ErAu4
Theoretical X-ray diffraction stick pattern, Cu Kα. Input: a DFT-relaxed cell (PBE, Alexandria).
Kinematic intensities with the Lorentz-polarization factor, no thermal factor.

Top 8 peaks for 2θ = 10–80°, by angle:
2θ/deg  d [Å]  I_rel
30.7  2.913  12.2
35.8  2.506  100.0
36.7  2.447  26.7
37.9  2.377  19.8
42.2  2.143  12.2
53.8  1.705  15.4
65.6  1.424  17.5
67.0  1.396  10.4

Atomic structure:
Cell lengths 6.0206, 6.0206, 4.8949 Å; angles 90.00, 90.00, 104.30 degrees
Atoms (fractional coordinates):
Ho: 0.2127 0.7873 0.0000
Ho: 0.7873 0.2127 0.0000
Er: 0.5000 0.5000 0.5000
Au: 0.0000 0.5000 0.5000
Au: 0.2925 0.2925 0.0000
Au: 0.5000 0.0000 0.5000
Au: 0.7075 0.7075 0.0000


Record 5
# K2HoNpO6
Theoretical X-ray diffraction stick pattern, Cu Kα. Input: a DFT-relaxed cell (PBE, Alexandria).
Kinematic intensities with the Lorentz-polarization factor, no thermal factor.

Top 8 peaks for 2θ = 10–80°, by angle:
2θ/deg  d [Å]  I_rel
20.7  4.289  71.5
29.5  3.033  100.0
42.1  2.144  31.2
47.4  1.918  33.7
52.2  1.751  41.0
61.1  1.516  19.5
65.3  1.430  16.5
69.3  1.356  18.1

Atomic structure:
Cell lengths 6.0655, 6.0655, 6.0655 Å; angles 60.00, 60.00, 60.00 degrees
Atoms (fractional coordinates):
K: 0.2500 0.2500 0.2500
K: 0.7500 0.7500 0.7500
Ho: 0.0000 0.0000 0.0000
Np: 0.5000 0.5000 0.5000
O: 0.2630 0.2630 0.7370
O: 0.2630 0.7370 0.2630
O: 0.2630 0.7370 0.7370
O: 0.7370 0.2630 0.2630
O: 0.7370 0.2630 0.7370
O: 0.7370 0.7370 0.2630


Record 6
# Ce3Zn8Cd
Theoretical X-ray diffraction stick pattern, Cu Kα. Input: a DFT-relaxed cell (PBE, Alexandria).
Kinematic intensities with the Lorentz-polarization factor, no thermal factor.

Top 8 peaks for 2θ = 10–80°, by angle:
2θ/deg  d [Å]  I_rel
32.7  2.740  66.5
38.5  2.338  100.0
38.6  2.333  31.5
40.3  2.239  21.2
58.3  1.583  18.7
62.2  1.492  30.7
68.4  1.372  15.9
68.6  1.369  15.7

Atomic structure:
Cell lengths 9.4733, 9.4733, 9.4733 Å; angles 33.67, 33.67, 33.67 degrees
Atoms (fractional coordinates):
Ce: 0.0000 0.0000 0.0000
Ce: 0.1252 0.1252 0.1252
Ce: 0.5000 0.5000 0.5000
Zn: 0.0613 0.0613 0.5655
Zn: 0.0613 0.5655 0.0613
Zn: 0.0625 0.5624 0.5624
Zn: 0.3134 0.3134 0.3134
Zn: 0.5624 0.0625 0.5624
Zn: 0.5624 0.5624 0.0625
Zn: 0.5655 0.0613 0.0613
Zn: 0.8120 0.8120 0.8120
Cd: 0.6270 0.6270 0.6270


Record 7
# Hf4In2Au
Theoretical X-ray diffraction stick pattern, Cu Kα. Input: a DFT-relaxed cell (PBE, Alexandria).
Kinematic intensities with the Lorentz-polarization factor, no thermal factor.

Top 8 peaks for 2θ = 10–80°, by angle:
2θ/deg  d [Å]  I_rel
31.4  2.850  100.0
34.4  2.609  37.2
35.1  2.553  70.2
36.5  2.462  42.4
38.9  2.317  67.4
39.3  2.292  81.9
40.4  2.233  36.0
47.5  1.914  32.9

Atomic structure:
Cell lengths 6.8974, 3.1301, 7.8286 Å; angles 90.00, 91.52, 90.00 degrees
Atoms (fractional coordinates):
Hf: 0.1313 0.0000 0.3568
Hf: 0.3254 0.5000 0.0935
Hf: 0.6746 0.5000 0.9065
Hf: 0.8687 0.0000 0.6432
In: 0.3229 0.5000 0.6740
In: 0.6771 0.5000 0.3260
Au: 0.0000 0.0000 0.0000


Record 8
# NdHf2N4
Theoretical X-ray diffraction stick pattern, Cu Kα. Input: a DFT-relaxed cell (PBE, Alexandria).
Kinematic intensities with the Lorentz-polarization factor, no thermal factor.

Top 8 peaks for 2θ = 10–80°, by angle:
2θ/deg  d [Å]  I_rel
29.8  2.995  33.0
30.2  2.960  100.0
33.3  2.691  77.1
38.2  2.354  29.1
41.1  2.198  30.9
52.0  1.757  22.0
57.6  1.601  27.5
65.3  1.428  25.2

Atomic structure:
Cell lengths 5.6235, 5.6235, 10.6311 Å; angles 90.00, 90.00, 146.28 degrees
Atoms (fractional coordinates):
Nd: 0.1094 0.8906 0.7500
Nd: 0.8906 0.1094 0.2500
Hf: 0.3675 0.6325 0.5672
Hf: 0.3675 0.6325 0.9328
Hf: 0.6325 0.3675 0.0672
Hf: 0.6325 0.3675 0.4328
N: 0.0000 0.0000 0.0000
N: 0.0000 0.0000 0.5000
N: 0.2624 0.7376 0.1107
N: 0.2624 0.7376 0.3893
N: 0.4434 0.5566 0.7500
N: 0.5566 0.4434 0.2500
N: 0.7376 0.2624 0.6107
N: 0.7376 0.2624 0.8893